No. 1
The following is a theoretical powder X-ray diffraction pattern of Tb2Ga12Cu. It was derived from a cell relaxed with GGA-PBE, using a wavelength of 1.5418 Å.
Kinematic intensities with the Lorentz-polarization factor, no thermal factor.

Structural model:
```
data_Tb2Ga12Cu
_chemical_formula_sum 'Tb4 Ga24 Cu2'
_space_group_name_H-M_alt 'P 4/n b m'
_space_group_IT_number 125
_cell_length_a 6.1362
_cell_length_b 6.1362
_cell_length_c 15.1290
_cell_angle_alpha 90.00
_cell_angle_beta 90.00
_cell_angle_gamma 90.00
loop_
_space_group_symop_operation_xyz
'x,y,z'
'-x,-y,-z'
'-y+1/2,x,z'
'y+1/2,-x,-z'
'-x+1/2,-y+1/2,z'
'x+1/2,y+1/2,-z'
'y,-x+1/2,z'
'-y,x+1/2,-z'
'x,-y+1/2,-z'
'-x,y+1/2,z'
'-y+1/2,-x+1/2,-z'
'y+1/2,x+1/2,z'
'-x+1/2,y,-z'
'x+1/2,-y,z'
'y,x,-z'
'-y,-x,z'
loop_
_atom_site_label
_atom_site_type_symbol
_atom_site_fract_x
_atom_site_fract_y
_atom_site_fract_z
Tb1 Tb 0.2500 0.7500 0.2443
Ga1 Ga 0.0004 0.9996 0.0870
Ga2 Ga 0.0834 0.5834 0.4296
Ga3 Ga 0.2500 0.2500 0.1830
Ga4 Ga 0.2500 0.2500 0.3439
Cu1 Cu 0.2500 0.7500 0.0000
```

Principal peaks in the range 2θ = 10–80°, by angle:
2θ = 31.4°, d = 2.846 Å, I 100; 2θ = 37.8°, d = 2.383 Å, I 20; 2θ = 41.4°, d = 2.180 Å, I 23; 2θ = 41.6°, d = 2.169 Å, I 40; 2θ = 41.9°, d = 2.154 Å, I 12; 2θ = 53.0°, d = 1.726 Å, I 20; 2θ = 69.4°, d = 1.354 Å, I 13; 2θ = 69.6°, d = 1.350 Å, I 11

No. 2
The following is a theoretical powder X-ray diffraction pattern of PmMn3C2. It was derived from a cell relaxed with GGA-PBE, using a wavelength of 1.5418 Å.
Kinematic intensities with the Lorentz-polarization factor, no thermal factor.

Structural model:
```
data_PmMn3C2
_chemical_formula_sum 'Pm4 Mn12 C8'
_space_group_name_H-M_alt 'C 1 2/m 1'
_space_group_IT_number 12
_space_group_name_Hall '-C 2y'
_cell_length_a 12.1003
_cell_length_b 3.5511
_cell_length_c 7.3440
_cell_angle_alpha 90.00
_cell_angle_beta 115.92
_cell_angle_gamma 90.00
loop_
_atom_site_label
_atom_site_type_symbol
_atom_site_fract_x
_atom_site_fract_y
_atom_site_fract_z
Pm1 Pm 0.1356 0.0000 0.0373
Mn1 Mn 0.0634 0.0000 0.4098
Mn2 Mn 0.0999 0.5000 0.6635
Mn3 Mn 0.2131 0.5000 0.4009
C1 C 0.0342 0.5000 0.2602
C2 C 0.1776 0.0000 0.7219
```

Principal peaks in the range 2θ = 10–80°, by angle:
2θ = 28.0°, d = 3.186 Å, I 40; 2θ = 29.5°, d = 3.024 Å, I 38; 2θ = 35.4°, d = 2.539 Å, I 79; 2θ = 37.5°, d = 2.397 Å, I 59; 2θ = 41.0°, d = 2.201 Å, I 36; 2θ = 41.9°, d = 2.158 Å, I 100; 2θ = 46.3°, d = 1.959 Å, I 35; 2θ = 51.5°, d = 1.776 Å, I 36

No. 3
The following is a theoretical powder X-ray diffraction pattern of Ac2Pr4NdDy. It was derived from a cell relaxed with GGA-PBE, using a wavelength of 1.5418 Å.
Kinematic intensities with the Lorentz-polarization factor, no thermal factor.

Structural model:
```
data_Ac2Pr4NdDy
_chemical_formula_sum 'Ac2 Pr4 Nd1 Dy1'
_space_group_name_H-M_alt 'P 1 2/m 1'
_space_group_IT_number 10
_space_group_name_Hall '-P 2y'
_cell_length_a 6.5261
_cell_length_b 3.7795
_cell_length_c 12.4163
_cell_angle_alpha 90.00
_cell_angle_beta 100.31
_cell_angle_gamma 90.00
loop_
_atom_site_label
_atom_site_type_symbol
_atom_site_fract_x
_atom_site_fract_y
_atom_site_fract_z
Ac1 Ac 0.0000 0.0000 0.0000
Ac2 Ac 0.5000 0.5000 0.0000
Pr1 Pr 0.2458 0.0000 0.7407
Pr2 Pr 0.2519 0.5000 0.2579
Nd1 Nd 0.5000 0.0000 0.5000
Dy1 Dy 0.0000 0.5000 0.5000
```

Principal peaks in the range 2θ = 10–80°, by angle:
2θ = 29.0°, d = 3.078 Å, I 100; 2θ = 29.2°, d = 3.054 Å, I 32; 2θ = 33.6°, d = 2.664 Å, I 45; 2θ = 33.8°, d = 2.653 Å, I 22; 2θ = 48.3°, d = 1.885 Å, I 17; 2θ = 48.5°, d = 1.876 Å, I 24; 2θ = 57.4°, d = 1.606 Å, I 25; 2θ = 57.6°, d = 1.601 Å, I 19

No. 4
The following is a theoretical powder X-ray diffraction pattern of PrDyRhCl. It was derived from a cell relaxed with GGA-PBE, using a wavelength of 1.5418 Å.
Kinematic intensities with the Lorentz-polarization factor, no thermal factor.

Structural model:
```
data_PrDyRhCl
_chemical_formula_sum 'Pr3 Dy3 Rh3 Cl3'
_space_group_name_H-M_alt 'R 3 m'
_space_group_IT_number 160
_space_group_name_Hall 'R 3 -2"'
_cell_length_a 4.0059
_cell_length_b 4.0059
_cell_length_c 22.9897
_cell_angle_alpha 90.00
_cell_angle_beta 90.00
_cell_angle_gamma 120.00
loop_
_atom_site_label
_atom_site_type_symbol
_atom_site_fract_x
_atom_site_fract_y
_atom_site_fract_z
Pr1 Pr 0.0000 0.0000 0.0000
Dy1 Dy 0.0000 0.0000 0.1990
Rh1 Rh 0.0000 0.0000 0.5957
Cl1 Cl 0.0000 0.0000 0.7707
```

Principal peaks in the range 2θ = 10–80°, by angle:
2θ = 11.5°, d = 7.663 Å, I 52; 2θ = 26.8°, d = 3.321 Å, I 30; 2θ = 32.3°, d = 2.769 Å, I 100; 2θ = 45.3°, d = 2.003 Å, I 41; 2θ = 47.4°, d = 1.916 Å, I 33; 2θ = 56.7°, d = 1.623 Å, I 20; 2θ = 67.7°, d = 1.385 Å, I 17; 2θ = 75.4°, d = 1.261 Å, I 19